Record 1
This entry pairs a crystal structure of Li3Sb2P3O12 with its theoretical X-ray diffraction stick pattern. Radiation: Cu Kα. Structure: a cell relaxed with PBE.
Lines closer than 0.1° are merged.

Most intense lines, 2θ from 10° to 80°, sorted by position:
| h k l | Position (°2θ) | intensity |
| --- | --- | --- |
| 0 2 0 | 18.55 | 45 |
| 1 1 1 | 18.89 | 89 |
| 2 0 -2 | 20.95 | 49 |
| 3 1 -1 | 21.10 | 100 |
| 3 1 0 | 23.47 | 44 |
| 1 3 1 | 32.62 | 92 |
| 3 1 -3 | 33.06 | 77 |
| 2 0 2 | 33.22 | 41 |
| 5 1 -1 | 33.54 | 33 |
| 6 2 0 | 48.00 | 34 |

Lattice parameters (Å, degrees): 14.111 9.569 8.574 90.00 118.54 90.00
Space group C2/c (No. 15)
Asymmetric unit:
Li: 0.184 0.047 0.130 [8 per cell]
Li: 0.250 0.250 0.500 [4 per cell]
Sb: 0.094 0.261 0.652 [8 per cell]
P: 0.000 0.101 0.250 [4 per cell]
P: 0.174 0.419 0.077 [8 per cell]
O: 0.059 0.370 0.018 [8 per cell]
O: 0.068 0.016 0.190 [8 per cell]
O: 0.083 0.196 0.409 [8 per cell]
O: 0.185 0.416 0.609 [8 per cell]
O: 0.215 0.389 0.946 [8 per cell]
O: 0.250 0.147 0.735 [8 per cell]

=====

Record 2
This entry pairs a crystal structure of Li3Sb2P3O12 with its theoretical X-ray diffraction stick pattern. Radiation: Cu Kα. Structure: a cell relaxed with PBE.
Lines closer than 0.1° are merged.

Most intense lines, 2θ from 10° to 80°, sorted by position:
| h k l | Position (°2θ) | intensity |
| --- | --- | --- |
| 0 1 2 | 13.62 | 58 |
| 1 0 4 | 18.45 | 59 |
| 1 1 0 | 20.13 | 38 |
| 1 1 3 | 22.86 | 36 |
| 0 2 4 | 27.44 | 26 |
| 1 1 6 | 29.65 | 100 |
| 2 1 4 | 34.27 | 17 |
| 3 0 0 | 35.25 | 32 |
| 2 2 6 | 46.71 | 27 |
| 4 1 6 | 59.84 | 25 |

Lattice parameters (Å, degrees): 8.8211 8.8211 24.7496 90.00 90.00 120.00
Space group R-3 (No. 148, hexagonal axes)
Asymmetric unit:
Li: 0.0164 0.7162 0.0457 [18 per cell]
Sb: 0.0000 0.0000 0.1621 [6 per cell]
Sb: 0.0000 0.0000 0.3448 [6 per cell]
P: 0.0029 0.6873 0.2561 [18 per cell]
O: 0.0027 0.1982 0.7903 [18 per cell]
O: 0.0330 0.4685 0.3613 [18 per cell]
O: 0.0739 0.5034 0.7610 [18 per cell]
O: 0.0995 0.5350 0.0595 [18 per cell]

=====

Record 3
This entry pairs a crystal structure of Li3Sb2P3O12 with its theoretical X-ray diffraction stick pattern. Radiation: Cu Kα. Structure: a cell relaxed with PBE.
Lines closer than 0.1° are merged.

Most intense lines, 2θ from 10° to 80°, sorted by position:
| h k l | Position (°2θ) | intensity |
| --- | --- | --- |
| 0 0 3 | 13.23 | 50 |
| 1 1 0 | 18.79 | 91 |
| 2 0 0 | 20.60 | 58 |
| 1 1 -3 | 22.94 | 100 |
| 2 0 3 | 24.77 | 49 |
| 0 2 0 | 31.71 | 60 |
| 1 1 -6 | 32.64 | 74 |
| 1 1 6 | 32.96 | 83 |
| 3 1 0 | 35.03 | 82 |
| 4 0 0 | 41.89 | 56 |

Lattice parameters (Å, degrees): 8.624 5.643 20.086 90.00 91.06 90.00
Space group C2/m (No. 12)
Asymmetric unit:
Li: 0.003 0.000 0.159 [4 per cell]
Li: 0.160 0.500 0.769 [4 per cell]
Li: 0.162 0.500 0.087 [4 per cell]
Sb: 0.000 0.000 0.000 [2 per cell]
Sb: 0.000 0.000 0.500 [2 per cell]
Sb: 0.001 0.000 0.321 [4 per cell]
P: 0.145 0.500 0.920 [4 per cell]
P: 0.147 0.500 0.598 [4 per cell]
P: 0.153 0.500 0.237 [4 per cell]
O: 0.032 0.279 0.917 [8 per cell]
O: 0.040 0.278 0.239 [8 per cell]
O: 0.042 0.272 0.589 [8 per cell]
O: 0.215 0.500 0.669 [4 per cell]
O: 0.232 0.500 0.989 [4 per cell]
O: 0.233 0.000 0.457 [4 per cell]
O: 0.244 0.000 0.138 [4 per cell]
O: 0.244 0.000 0.698 [4 per cell]
O: 0.247 0.000 0.824 [4 per cell]

=====

Record 4
This entry pairs a crystal structure of LiSb2P3O11 with its theoretical X-ray diffraction stick pattern. Radiation: Cu Kα. Structure: a cell relaxed with PBE.
Lines closer than 0.1° are merged.

Most intense lines, 2θ from 10° to 80°, sorted by position:
| h k l | Position (°2θ) | intensity |
| --- | --- | --- |
| 1 1 -1 | 14.18 | 55 |
| 1 1 1 | 17.74 | 100 |
| 0 2 0 | 19.16 | 32 |
| 2 0 -2 | 21.00 | 26 |
| 3 1 -1 | 24.62 | 60 |
| 0 2 2 | 28.03 | 76 |
| 2 2 -2 | 28.58 | 43 |
| 4 0 0 | 32.34 | 28 |
| 1 3 1 | 32.69 | 34 |
| 2 2 -4 | 43.41 | 33 |

Lattice parameters (Å, degrees): 11.816 9.263 9.356 90.00 110.43 90.00
Space group C2 (No. 5)
Asymmetric unit:
Li: 0.218 0.000 0.182 [4 per cell]
Sb: 0.105 0.497 0.310 [4 per cell]
Sb: 0.109 0.988 0.797 [4 per cell]
P: 0.000 0.725 0.500 [2 per cell]
P: 0.000 0.762 0.000 [2 per cell]
P: 0.128 0.152 0.471 [4 per cell]
P: 0.134 0.314 0.993 [4 per cell]
O: 0.000 0.125 0.500 [2 per cell]
O: 0.000 0.343 0.000 [2 per cell]
O: 0.051 0.812 0.648 [4 per cell]
O: 0.065 0.677 0.145 [4 per cell]
O: 0.098 0.865 0.976 [4 per cell]
O: 0.104 0.626 0.492 [4 per cell]
O: 0.115 0.081 0.320 [4 per cell]
O: 0.138 0.382 0.849 [4 per cell]
O: 0.156 0.313 0.487 [4 per cell]
O: 0.162 0.153 0.016 [4 per cell]
O: 0.213 0.399 0.141 [4 per cell]
O: 0.215 0.066 0.611 [4 per cell]